For Rb2CoP4H8O16, a GGA+U-relaxed structure gives the simulated powder XRD pattern in this record (Cu Kα, 1.54184 Å).

Structure:
a b c (Å): 7.087 7.498 7.802
angles (deg): 81.93 72.01 87.46
Space group P-1 (No. 2)
Unique sites:
Rb1 0.101 0.219 0.294 x2
Co1 0.500 0.000 0.500 x1
P1 0.247 0.301 0.754 x2
P2 0.342 0.758 0.242 x2
H1 0.069 0.762 0.084 x2
H2 0.263 0.533 0.469 x2
H3 0.376 0.811 0.851 x2
H4 0.379 0.678 0.706 x2
O1 0.064 0.277 0.931 x2
O2 0.253 0.567 0.336 x2
O3 0.256 0.158 0.633 x2
O4 0.263 0.495 0.659 x2
O5 0.264 0.818 0.083 x2
O6 0.309 0.886 0.383 x2
O7 0.421 0.270 0.851 x2
O8 0.435 0.791 0.722 x2

Largest 6 diffraction maxima, by intensity, 10 to 80 degrees two-theta:
29.1 deg, I = 100, hkl 2 -1 0; 24.0 deg, I = 85, hkl 0 2 0; 24.5 deg, I = 79, hkl 1 1 -1; 27.5 deg, I = 73, hkl 2 1 1; 12.0 deg, I = 65, hkl 0 0 1; 24.2 deg, I = 59, hkl 0 0 2